Diffraction record for Cu3Ni6Ir. The XRD peak list is calculated, not measured: it uses a structure optimized by DFT (PBE) and Cu Kα (λ = 1.5418 Å).
No peak broadening, texture or thermal motion is included.

Cell and atoms:
```
data_Cu3Ni6Ir
_chemical_formula_sum 'Cu3 Ni6 Ir1'
_symmetry_space_group_name_H-M 'P 1'
_symmetry_Int_Tables_number 1
_cell_length_a 4.706
_cell_length_b 4.706
_cell_length_c 6.406
_cell_angle_alpha 90.00
_cell_angle_beta 90.00
_cell_angle_gamma 120.00
loop_
_symmetry_equiv_pos_as_xyz
'x,y,z'
loop_
_atom_site_label
_atom_site_type_symbol
_atom_site_fract_x
_atom_site_fract_y
_atom_site_fract_z
Cu1 Cu 0.000 0.000 0.000
Cu2 Cu 0.333 0.667 0.000
Cu3 Cu 0.667 0.333 0.000
Ni1 Ni 0.000 0.500 0.316
Ni2 Ni 0.000 0.500 0.684
Ni3 Ni 0.500 0.000 0.316
Ni4 Ni 0.500 0.000 0.684
Ni5 Ni 0.500 0.500 0.316
Ni6 Ni 0.500 0.500 0.684
Ir1 Ir 0.000 0.000 0.500
```

Main lines, in order of rising 2θ (15° ≤ 2θ ≤ 90°):
Position (°2θ), I (rel.)
25.9, 41
35.7, 77
38.2, 29
44.5, 90
46.8, 56
48.0, 100
48.1, 42
81.9, 25



Diffraction record for Pr3Y2PuSe6. The XRD peak list is calculated, not measured: it uses a structure optimized by DFT (PBE) and Cu Kα (λ = 1.5418 Å).
No peak broadening, texture or thermal motion is included.

Cell and atoms:
```
data_Pr3Y2PuSe6
_chemical_formula_sum 'Pr3 Y2 Pu1 Se6'
_symmetry_space_group_name_H-M 'P 1'
_symmetry_Int_Tables_number 1
_cell_length_a 7.211
_cell_length_b 7.211
_cell_length_c 7.317
_cell_angle_alpha 99.44
_cell_angle_beta 99.44
_cell_angle_gamma 120.02
loop_
_symmetry_equiv_pos_as_xyz
'x,y,z'
loop_
_atom_site_label
_atom_site_type_symbol
_atom_site_fract_x
_atom_site_fract_y
_atom_site_fract_z
Pr1 Pr 0.000 0.000 0.000
Pr2 Pr 0.333 0.667 0.000
Pr3 Pr 0.667 0.333 0.000
Y1 Y 0.167 0.833 0.500
Y2 Y 0.833 0.167 0.500
Pu1 Pu 0.500 0.500 0.500
Se1 Se 0.086 0.421 0.264
Se2 Se 0.242 0.242 0.735
Se3 Se 0.421 0.086 0.264
Se4 Se 0.579 0.914 0.736
Se5 Se 0.758 0.758 0.265
Se6 Se 0.914 0.579 0.736
```

Main lines, in order of rising 2θ (15° ≤ 2θ ≤ 90°):
Position (°2θ), I (rel.)
30.2, 100
43.0, 37
43.5, 37
53.8, 19
62.8, 12
70.9, 17
71.6, 17
79.5, 12



Diffraction record for HoTmSeN. The XRD peak list is calculated, not measured: it uses a structure optimized by DFT (PBE) and Cu Kα (λ = 1.5418 Å).
No peak broadening, texture or thermal motion is included.

Cell and atoms:
```
data_HoTmSeN
_chemical_formula_sum 'Ho1 Tm1 Se1 N1'
_symmetry_space_group_name_H-M 'P 1'
_symmetry_Int_Tables_number 1
_cell_length_a 6.772
_cell_length_b 6.772
_cell_length_c 6.772
_cell_angle_alpha 31.06
_cell_angle_beta 31.06
_cell_angle_gamma 31.06
loop_
_symmetry_equiv_pos_as_xyz
'x,y,z'
loop_
_atom_site_label
_atom_site_type_symbol
_atom_site_fract_x
_atom_site_fract_y
_atom_site_fract_z
Ho1 Ho 0.000 0.000 0.000
Tm1 Tm 0.535 0.535 0.535
Se1 Se 0.768 0.768 0.768
N1 N 0.266 0.266 0.266
```

Main lines, in order of rising 2θ (15° ≤ 2θ ≤ 90°):
Position (°2θ), I (rel.)
29.9, 47
34.0, 100
36.9, 30
47.5, 23
50.3, 38
62.2, 17
67.6, 21
83.9, 15



Diffraction record for Nb2V2Mo7. The XRD peak list is calculated, not measured: it uses a structure optimized by DFT (PBE) and Cu Kα (λ = 1.5418 Å).
No peak broadening, texture or thermal motion is included.

Cell and atoms:
```
data_Nb2V2Mo7
_chemical_formula_sum 'Nb2 V2 Mo7'
_symmetry_space_group_name_H-M 'P 1'
_symmetry_Int_Tables_number 1
_cell_length_a 5.347
_cell_length_b 5.347
_cell_length_c 6.755
_cell_angle_alpha 96.46
_cell_angle_beta 96.46
_cell_angle_gamma 105.67
loop_
_symmetry_equiv_pos_as_xyz
'x,y,z'
loop_
_atom_site_label
_atom_site_type_symbol
_atom_site_fract_x
_atom_site_fract_y
_atom_site_fract_z
Nb1 Nb 0.245 0.755 0.000
Nb2 Nb 0.755 0.245 0.000
V1 V 0.414 0.414 0.667
V2 V 0.586 0.586 0.333
Mo1 Mo 0.000 0.000 0.500
Mo2 Mo 0.083 0.552 0.336
Mo3 Mo 0.254 0.254 0.988
Mo4 Mo 0.448 0.917 0.664
Mo5 Mo 0.552 0.083 0.336
Mo6 Mo 0.746 0.746 0.012
Mo7 Mo 0.917 0.448 0.664
```

Main lines, in order of rising 2θ (15° ≤ 2θ ≤ 90°):
Position (°2θ), I (rel.)
35.9, 14
39.8, 100
40.8, 30
41.4, 55
42.4, 40
60.3, 17
75.7, 14
75.8, 13